Record 1
For CsIn2AgSe4, the GGA-PBE geometry in Alexandria gives the calculated X-ray powder pattern in this record (CuKα).
Kinematic intensities with the Lorentz-polarization factor, no thermal factor.

Peak list (12 most intense, 2θ from 10° to 90°, in order of rising 2θ)
d/Å, 2theta, Rel. int.
3.736, 23.82, 100
2.707, 33.09, 6
2.349, 38.31, 47
2.178, 41.45, 19
2.116, 42.73, 19
1.882, 48.37, 27
1.540, 60.06, 5
1.518, 61.04, 9
1.395, 67.10, 6
1.378, 68.04, 5
1.288, 73.52, 9
1.165, 82.90, 6

Crystal structure
```
data_CsIn2AgSe4
_cell_length_a 6.1615
_cell_length_b 6.1615
_cell_length_c 14.5271
_cell_angle_alpha 90.00
_cell_angle_beta 90.00
_cell_angle_gamma 90.00
_space_group_name_H-M_alt 'P 1'
_space_group_IT_number 1
loop_
_space_group_symop_operation_xyz
'x,y,z'
loop_
_atom_site_label
_atom_site_type_symbol
_atom_site_fract_x
_atom_site_fract_y
_atom_site_fract_z
_atom_site_occupancy
Cs1 Cs 0.0000 0.0000 0.0000 1
Cs2 Cs 0.5000 0.5000 0.5000 1
In1 In 0.0000 0.5000 0.2500 1
In2 In 0.0000 0.5000 0.7500 1
In3 In 0.5000 0.0000 0.2500 1
In4 In 0.5000 0.0000 0.7500 1
Ag1 Ag 0.0000 0.0000 0.5000 1
Ag2 Ag 0.5000 0.5000 0.0000 1
Se1 Se 0.2069 0.2069 0.3527 1
Se2 Se 0.2069 0.7931 0.6473 1
Se3 Se 0.2931 0.2931 0.8527 1
Se4 Se 0.2931 0.7069 0.1473 1
Se5 Se 0.7069 0.2931 0.1473 1
Se6 Se 0.7069 0.7069 0.8527 1
Se7 Se 0.7931 0.2069 0.6473 1
Se8 Se 0.7931 0.7931 0.3527 1
```

Record 2
For Ga7Ni2Ir2, the GGA-PBE geometry in Alexandria gives the calculated X-ray powder pattern in this record (CuKα).
Kinematic intensities with the Lorentz-polarization factor, no thermal factor.

Peak list (12 most intense, 2θ from 10° to 90°, in order of rising 2θ)
d/Å, 2theta, Rel. int.
6.228, 14.22, 32
4.241, 20.95, 25
3.505, 25.41, 51
3.044, 29.34, 97
2.473, 36.33, 26
2.415, 37.23, 28
2.323, 38.76, 32
2.120, 42.64, 38
2.038, 44.46, 100
2.005, 45.23, 44
1.745, 52.45, 22
1.726, 53.06, 25

Crystal structure
```
data_Ga7Ni2Ir2
_cell_length_a 5.4916
_cell_length_b 5.4916
_cell_length_c 6.2285
_cell_angle_alpha 90.00
_cell_angle_beta 90.00
_cell_angle_gamma 101.10
_space_group_name_H-M_alt 'P 1'
_space_group_IT_number 1
loop_
_space_group_symop_operation_xyz
'x,y,z'
loop_
_atom_site_label
_atom_site_type_symbol
_atom_site_fract_x
_atom_site_fract_y
_atom_site_fract_z
_atom_site_occupancy
Ga1 Ga 0.0000 0.0000 0.0000 1
Ga2 Ga 0.0000 0.5000 0.2911 1
Ga3 Ga 0.0000 0.5000 0.7089 1
Ga4 Ga 0.5000 0.0000 0.2911 1
Ga5 Ga 0.5000 0.0000 0.7089 1
Ga6 Ga 0.5000 0.5000 0.2893 1
Ga7 Ga 0.5000 0.5000 0.7107 1
Ni1 Ni 0.1868 0.1868 0.5000 1
Ni2 Ni 0.8132 0.8132 0.5000 1
Ir1 Ir 0.2879 0.7121 0.0000 1
Ir2 Ir 0.7121 0.2879 0.0000 1
```

Record 3
For Pm2GeBRh6, the GGA-PBE geometry in Alexandria gives the calculated X-ray powder pattern in this record (CuKα).
Kinematic intensities with the Lorentz-polarization factor, no thermal factor.

Peak list (12 most intense, 2θ from 10° to 90°, in order of rising 2θ)
d/Å, 2theta, Rel. int.
3.123, 28.58, 11
2.664, 33.65, 4
2.550, 35.19, 100
2.208, 40.86, 71
2.027, 44.72, 7
1.803, 50.62, 4
1.562, 59.15, 38
1.560, 59.22, 7
1.332, 70.74, 35
1.275, 74.40, 15
1.150, 84.17, 4
1.104, 88.56, 7

Crystal structure
```
data_Pm2GeBRh6
_cell_length_a 6.2466
_cell_length_b 6.2466
_cell_length_c 6.2466
_cell_angle_alpha 120.06
_cell_angle_beta 119.94
_cell_angle_gamma 90.00
_space_group_name_H-M_alt 'P 1'
_space_group_IT_number 1
loop_
_space_group_symop_operation_xyz
'x,y,z'
loop_
_atom_site_label
_atom_site_type_symbol
_atom_site_fract_x
_atom_site_fract_y
_atom_site_fract_z
_atom_site_occupancy
Pm1 Pm 0.2500 0.2500 0.0000 1
Pm2 Pm 0.7500 0.7500 0.0000 1
Ge1 Ge 0.5000 0.0000 0.5000 1
B1 B 0.0000 0.5000 0.5000 1
Rh1 Rh 0.2335 0.7335 0.5000 1
Rh2 Rh 0.2336 0.2665 0.5001 1
Rh3 Rh 0.2336 0.7335 0.9670 1
Rh4 Rh 0.7664 0.2665 0.0330 1
Rh5 Rh 0.7664 0.7335 0.4999 1
Rh6 Rh 0.7665 0.2665 0.5000 1
```

Record 4
For Er2Zn5Cu4, the GGA-PBE geometry in Alexandria gives the calculated X-ray powder pattern in this record (CuKα).
Kinematic intensities with the Lorentz-polarization factor, no thermal factor.

Peak list (12 most intense, 2θ from 10° to 90°, in order of rising 2θ)
d/Å, 2theta, Rel. int.
4.069, 21.85, 23
3.447, 25.85, 45
2.959, 30.20, 66
2.488, 36.10, 50
2.284, 39.46, 98
2.232, 40.42, 54
2.196, 41.11, 100
2.034, 44.54, 53
1.991, 45.55, 39
1.708, 53.66, 27
1.503, 61.70, 29
1.435, 65.00, 21

Crystal structure
```
data_Er2Zn5Cu4
_cell_length_a 9.2091
_cell_length_b 8.5449
_cell_length_c 5.0396
_cell_angle_alpha 80.91
_cell_angle_beta 66.38
_cell_angle_gamma 32.71
_space_group_name_H-M_alt 'P 1'
_space_group_IT_number 1
loop_
_space_group_symop_operation_xyz
'x,y,z'
loop_
_atom_site_label
_atom_site_type_symbol
_atom_site_fract_x
_atom_site_fract_y
_atom_site_fract_z
_atom_site_occupancy
Er1 Er 0.1306 0.1306 0.8694 1
Er2 Er 0.8694 0.8694 0.1306 1
Zn1 Zn 0.0000 0.0000 0.5000 1
Zn2 Zn 0.2500 0.2500 0.2500 1
Zn3 Zn 0.5000 0.5000 0.0000 1
Zn4 Zn 0.5000 0.5000 0.5000 1
Zn5 Zn 0.7500 0.7500 0.7500 1
Cu1 Cu 0.2138 0.5259 0.4741 1
Cu2 Cu 0.4741 0.7862 0.2138 1
Cu3 Cu 0.5259 0.2138 0.7862 1
Cu4 Cu 0.7862 0.4741 0.5259 1
```

Record 5
For Mg4SeS3, the GGA-PBE geometry in Alexandria gives the calculated X-ray powder pattern in this record (CuKα).
Kinematic intensities with the Lorentz-polarization factor, no thermal factor.

Peak list (12 most intense, 2θ from 10° to 90°, in order of rising 2θ)
d/Å, 2theta, Rel. int.
5.302, 16.72, 14
3.749, 23.73, 13
3.061, 29.18, 15
2.651, 33.82, 100
2.371, 37.95, 8
2.164, 41.73, 6
1.874, 48.57, 67
1.767, 51.73, 4
1.598, 57.67, 5
1.530, 60.49, 23
1.325, 71.13, 10
1.185, 81.13, 29

Crystal structure
```
data_Mg4SeS3
_cell_length_a 5.3015
_cell_length_b 5.3015
_cell_length_c 5.3015
_cell_angle_alpha 90.00
_cell_angle_beta 90.00
_cell_angle_gamma 90.00
_space_group_name_H-M_alt 'P 1'
_space_group_IT_number 1
loop_
_space_group_symop_operation_xyz
'x,y,z'
loop_
_atom_site_label
_atom_site_type_symbol
_atom_site_fract_x
_atom_site_fract_y
_atom_site_fract_z
_atom_site_occupancy
Mg1 Mg 0.0000 0.0000 0.0000 1
Mg2 Mg 0.0000 0.5000 0.5000 1
Mg3 Mg 0.5000 0.0000 0.5000 1
Mg4 Mg 0.5000 0.5000 0.0000 1
Se1 Se 0.5000 0.5000 0.5000 1
S1 S 0.0000 0.0000 0.5000 1
S2 S 0.0000 0.5000 0.0000 1
S3 S 0.5000 0.0000 0.0000 1
```

Record 6
For La5Ir2Pt2, the GGA-PBE geometry in Alexandria gives the calculated X-ray powder pattern in this record (CuKα).
Kinematic intensities with the Lorentz-polarization factor, no thermal factor.

Peak list (12 most intense, 2θ from 10° to 90°, in order of rising 2θ)
d/Å, 2theta, Rel. int.
3.207, 27.82, 34
2.887, 30.98, 100
2.793, 32.04, 53
2.735, 32.75, 34
2.723, 32.89, 30
2.657, 33.74, 34
2.583, 34.73, 82
2.473, 36.32, 68
2.456, 36.58, 63
2.293, 39.29, 31
1.921, 47.31, 35
1.410, 66.31, 31

Crystal structure
```
data_La5Ir2Pt2
_cell_length_a 8.5290
_cell_length_b 8.5290
_cell_length_c 7.8656
_cell_angle_alpha 90.00
_cell_angle_beta 90.00
_cell_angle_gamma 55.44
_space_group_name_H-M_alt 'P 1'
_space_group_IT_number 1
loop_
_space_group_symop_operation_xyz
'x,y,z'
loop_
_atom_site_label
_atom_site_type_symbol
_atom_site_fract_x
_atom_site_fract_y
_atom_site_fract_z
_atom_site_occupancy
La1 La 0.0000 0.0000 0.0000 1
La2 La 0.0384 0.6933 0.6653 1
La3 La 0.1933 0.5384 0.1653 1
La4 La 0.3067 0.9616 0.6653 1
La5 La 0.4616 0.8067 0.1653 1
La6 La 0.5000 0.5000 0.5000 1
La7 La 0.5384 0.1933 0.8347 1
La8 La 0.6933 0.0384 0.3347 1
La9 La 0.8067 0.4616 0.8347 1
La10 La 0.9616 0.3067 0.3347 1
Ir1 Ir 0.1309 0.8691 0.3703 1
Ir2 Ir 0.3691 0.6309 0.8703 1
Ir3 Ir 0.6309 0.3691 0.1297 1
Ir4 Ir 0.8691 0.1309 0.6297 1
Pt1 Pt 0.2031 0.2031 0.0000 1
Pt2 Pt 0.2969 0.2969 0.5000 1
Pt3 Pt 0.7031 0.7031 0.5000 1
Pt4 Pt 0.7969 0.7969 0.0000 1
```